# La4Pr2NdEr
Calculated X-ray powder pattern, Cu Kα (weighted mean of Kα1 and Kα2). Input: the GGA-PBE geometry in Alexandria.

Structural model:
Cell lengths 5.2358, 5.2657, 10.3568 Å; angles 90.00, 90.00, 90.00 degrees
Space group Pmmm (No. 47)
One atom of each set of equivalent atoms:
La  0.0000  0.0000  0.2474
La  0.5000  0.5000  0.2480
Pr  0.0000  0.5000  0.0000
Pr  0.5000  0.0000  0.5000
Nd  0.0000  0.5000  0.5000
Er  0.5000  0.0000  0.0000

Principal peaks in the range 5° ≤ 2θ ≤ 70°, by intensity:
h k l, two_theta, Rel. int.
1 1 2, 29.61, 100
0 2 0, 34.05, 17
2 0 0, 34.25, 17
0 0 4, 34.64, 16
1 3 2, 58.23, 15
3 1 2, 58.49, 15
1 1 6, 59.01, 14
2 2 4, 61.46, 12
2 2 0, 49.07, 12
0 2 4, 49.37, 12